Structure and simulated powder diffractogram of AcPa4N6 (a DFT-relaxed cell (GGA-PBE, Alexandria); λ = 1.5418 Å (Cu Kα)).
Neutral-atom scattering factors, no anomalous dispersion.

Structural model:
```
22
Lattice="1.762 -5.814 0.000 1.762 5.814 0.000 0.000 0.000 17.249" Properties=species:S:1:pos:R:3 pbc="T T T"
Ac 1.762 3.920 12.937
Ac 1.762 -3.920 4.312
Pa 1.762 4.677 2.284
Pa 1.762 4.677 6.341
Pa 1.762 1.586 0.769
Pa 1.762 1.586 7.855
Pa 1.762 -1.586 9.394
Pa 1.762 -1.586 16.480
Pa 1.762 -4.677 10.908
Pa 1.762 -4.677 14.966
N 0.000 0.000 0.000
N 0.000 0.000 8.625
N 1.762 3.784 4.312
N 1.762 2.696 10.225
N 1.762 2.696 15.649
N 1.762 0.410 2.663
N 1.762 0.410 5.961
N 1.762 -0.410 11.288
N 1.762 -0.410 14.586
N 1.762 -2.696 1.600
N 1.762 -2.696 7.025
N 1.762 -3.784 12.937
```

Main lines, low angle first (15° ≤ 2θ ≤ 90°):
| d [Å] | 2θ/deg | I/Imax |
| --- | --- | --- |
| 3.140 | 28.42 | 36 |
| 2.967 | 30.12 | 100 |
| 2.908 | 30.75 | 100 |
| 2.578 | 34.80 | 27 |
| 2.496 | 35.99 | 47 |
| 2.374 | 37.89 | 28 |
| 1.769 | 51.67 | 33 |
| 1.515 | 61.19 | 30 |